Diffraction record for Ga2Si2S. The PXRD pattern is computed, not measured: it uses a cell relaxed with GGA-PBE and Cu Kα, 1.54184 Å.

Cell and atoms:
```
data_Ga2Si2S
_symmetry_space_group_name_H-M 'P 1'
_symmetry_Int_Tables_number 1
_symmetry_space_group_name_Hall 'P 1'
_cell_length_a 4.117
_cell_length_b 4.423
_cell_length_c 5.823
_cell_angle_alpha 69.39
_cell_angle_beta 86.78
_cell_angle_gamma 89.36
loop_
_atom_site_label
_atom_site_type_symbol
_atom_site_fract_x
_atom_site_fract_y
_atom_site_fract_z
Ga1 Ga 0.000 0.000 0.000
Ga2 Ga 0.475 0.740 0.578
Si1 Si 0.209 0.511 0.309
Si2 Si 0.964 0.035 0.581
S1 S 0.471 0.339 0.013
```

Most intense lines, 2θ = 10–90°, most intense first:
d = 2.843 Å, intensity 100, (-1 1 1)
d = 2.932 Å, intensity 98, (1 1 1)
d = 2.721 Å, intensity 46, (0 0 2)
d = 1.842 Å, intensity 42, (1 2 0)
d = 2.763 Å, intensity 39, (0 1 2)
d = 2.903 Å, intensity 35, (1 1 0)
d = 3.195 Å, intensity 32, (1 0 -1)
d = 1.856 Å, intensity 30, (1 -2 0)
d = 1.814 Å, intensity 28, (1 -1 2)
d = 2.055 Å, intensity 25, (2 0 0)


Diffraction record for SmGa2S4. The PXRD pattern is computed, not measured: it uses a cell relaxed with GGA-PBE and Cu Kα, 1.54184 Å.

Cell and atoms:
```
data_SmGa2S4
_symmetry_space_group_name_H-M 'C c c m'
_symmetry_Int_Tables_number 66
_symmetry_space_group_name_Hall '-C 2 2c'
_cell_length_a 6.292
_cell_length_b 9.796
_cell_length_c 9.997
_cell_angle_alpha 90.00
_cell_angle_beta 90.00
_cell_angle_gamma 90.00
loop_
_atom_site_label
_atom_site_type_symbol
_atom_site_fract_x
_atom_site_fract_y
_atom_site_fract_z
Sm1 Sm 0.000 0.000 0.250
Ga1 Ga 0.005 0.281 0.000
S1 S 0.211 0.071 0.500
S2 S 0.250 0.250 0.180
```

Most intense lines, 2θ = 10–90°, most intense first:
d = 2.339 Å, intensity 100, (2 2 2)
d = 3.634 Å, intensity 66, (1 1 2)
d = 5.294 Å, intensity 57, (1 1 0)
d = 3.498 Å, intensity 44, (0 2 2)
d = 2.898 Å, intensity 38, (1 3 0)
d = 1.751 Å, intensity 33, (1 5 2)
d = 2.499 Å, intensity 28, (0 0 4)
d = 1.893 Å, intensity 22, (1 3 4)
d = 2.449 Å, intensity 20, (0 4 0)
d = 1.897 Å, intensity 19, (3 1 2)


Diffraction record for Sm5GaS4. The PXRD pattern is computed, not measured: it uses a cell relaxed with GGA-PBE and Cu Kα, 1.54184 Å.

Cell and atoms:
```
data_Sm5GaS4
_symmetry_space_group_name_H-M 'I 4/m'
_symmetry_Int_Tables_number 87
_symmetry_space_group_name_Hall '-I 4'
_cell_length_a 9.107
_cell_length_b 9.107
_cell_length_c 5.731
_cell_angle_alpha 90.00
_cell_angle_beta 90.00
_cell_angle_gamma 90.00
loop_
_atom_site_label
_atom_site_type_symbol
_atom_site_fract_x
_atom_site_fract_y
_atom_site_fract_z
Sm1 Sm 0.000 0.000 0.000
Sm2 Sm 0.100 0.697 0.500
Ga1 Ga 0.000 0.000 0.500
S1 S 0.101 0.699 0.000
```

Most intense lines, 2θ = 10–90°, most intense first:
d = 2.880 Å, intensity 100, (3 1 0)
d = 3.320 Å, intensity 91, (1 2 1)
d = 2.031 Å, intensity 72, (3 1 2)
d = 2.865 Å, intensity 49, (0 0 2)
d = 1.660 Å, intensity 38, (2 4 2)
d = 2.036 Å, intensity 36, (2 4 0)
d = 1.287 Å, intensity 32, (6 2 2)
d = 1.736 Å, intensity 30, (5 0 1)
d = 1.175 Å, intensity 24, (5 5 2)
d = 1.283 Å, intensity 16, (3 1 4)